Record 1
Starting from the GGA-PBE geometry in Alexandria, the PXRD pattern of Er5Ni2Pd was calculated for CuKα.
Peak positions follow from Bragg's law for the DFT cell and can differ from measured ones.

a = 8.4003 Å, b = 8.4003 Å, c = 8.4003 Å
α = 127.63°, β = 127.63°, γ = 77.23°
Atoms (fractional coordinates):
Er1 0.0000 0.0000 0.0000
Er2 0.0250 0.5250 0.8290
Er3 0.1960 0.0250 0.5000
Er4 0.3040 0.8040 0.8290
Er5 0.4750 0.3040 0.5000
Er6 0.5000 0.5000 0.0000
Er7 0.5250 0.6960 0.5000
Er8 0.6960 0.1960 0.1710
Er9 0.8040 0.9750 0.5000
Er10 0.9750 0.4750 0.1710
Ni1 0.1267 0.3733 0.5000
Ni2 0.3733 0.8733 0.2466
Ni3 0.6267 0.1267 0.7534
Ni4 0.8733 0.6267 0.5000
Pd1 0.2500 0.2500 0.0000
Pd2 0.7500 0.7500 0.0000

Largest 10 diffraction maxima, sorted by position, 2θ from 10° to 90°:
two_theta	I_rel
27.75	30
32.18	28
33.92	100
34.21	16
36.57	47
38.40	59
55.23	16
56.36	14
59.98	24
69.98	15

***

Record 2
Starting from the GGA-PBE geometry in Alexandria, the PXRD pattern of PmEr2Ni was calculated for CuKα.
Peak positions follow from Bragg's law for the DFT cell and can differ from measured ones.

a = 3.8065 Å, b = 3.8065 Å, c = 26.5966 Å
α = 90.00°, β = 90.00°, γ = 120.00°
Atoms (fractional coordinates):
Pm1 0.0000 0.0000 0.0000
Pm2 0.3333 0.6667 0.6667
Pm3 0.6667 0.3333 0.3333
Er1 0.0000 0.0000 0.5552
Er2 0.0000 0.0000 0.7734
Er3 0.3333 0.6667 0.2218
Er4 0.3333 0.6667 0.4401
Er5 0.6667 0.3333 0.1067
Er6 0.6667 0.3333 0.8885
Ni1 0.0000 0.0000 0.1635
Ni2 0.3333 0.6667 0.8302
Ni3 0.6667 0.3333 0.4968

Largest 10 diffraction maxima, sorted by position, 2θ from 10° to 90°:
two_theta	I_rel
27.26	20
30.26	92
31.94	100
38.46	21
47.79	44
52.65	24
57.61	40
58.64	18
78.91	15
82.69	22

***

Record 3
Starting from the GGA-PBE geometry in Alexandria, the PXRD pattern of Pm2ErNi2 was calculated for CuKα.
Peak positions follow from Bragg's law for the DFT cell and can differ from measured ones.

a = 5.4499 Å, b = 4.3579 Å, c = 10.2780 Å
α = 90.00°, β = 94.87°, γ = 90.00°
Atoms (fractional coordinates):
Pm1 0.1122 0.2500 0.3779
Pm2 0.2463 0.2500 0.0365
Pm3 0.7537 0.7500 0.9635
Pm4 0.8878 0.7500 0.6221
Er1 0.3940 0.2500 0.7061
Er2 0.6060 0.7500 0.2939
Ni1 0.2551 0.7500 0.8561
Ni2 0.3691 0.7500 0.5254
Ni3 0.6309 0.2500 0.4746
Ni4 0.7449 0.2500 0.1439

Largest 10 diffraction maxima, sorted by position, 2θ from 10° to 90°:
two_theta	I_rel
26.22	70
28.10	69
33.34	100
34.90	71
36.11	45
36.30	81
38.35	53
41.44	68
41.81	44
58.03	52